Record 1
PrTe: simulated powder X-ray diffraction pattern (Cu Kα (λ = 1.5418 Å)), based on a GGA-PBE-relaxed structure.

Crystal structure
Unit cell a=6.407 b=6.407 c=6.407 alpha=90.00 beta=90.00 gamma=90.00
Space group Fm-3m (No. 225)
One atom of each set of equivalent atoms:
1 Pr 0.000 0.000 0.000 x4
2 Te 0.000 0.000 0.500 x4

Top 8 peaks for 2θ from 15° to 90°, low angle first:
Position (°2θ)	I (rel.)	index
24.1	8	1 1 1
27.8	1000	2 0 0
39.8	766	2 2 0
49.3	276	2 2 2
57.5	130	4 0 0
65.1	355	4 2 0
72.2	261	4 2 2
85.8	84	4 4 0



Record 2
Be2NiPt: simulated powder X-ray diffraction pattern (Cu Kα (λ = 1.5418 Å)), based on a GGA-PBE-relaxed structure.

Crystal structure
Unit cell a=5.728 b=5.374 c=5.371 alpha=90.00 beta=90.00 gamma=90.00
Space group Pnma (No. 62)
One atom of each set of equivalent atoms:
1 Be 0.249 0.000 0.000 x8
2 Ni 0.001 0.250 0.251 x4
3 Pt 0.001 0.250 0.750 x4

Top 8 peaks for 2θ from 15° to 90°, low angle first:
Position (°2θ)	I (rel.)	index
23.4	633	0 1 1
31.2	593	2 0 0
33.4	1000	0 2 0
39.4	342	2 1 1
46.3	964	2 2 0
47.9	438	0 2 2
58.3	405	2 2 2
88.2	312	2 4 2



Record 3
Ta6Si5: simulated powder X-ray diffraction pattern (Cu Kα (λ = 1.5418 Å)), based on a GGA-PBE-relaxed structure.

Crystal structure
Unit cell a=7.889 b=16.813 c=5.216 alpha=90.00 beta=90.00 gamma=90.00
Space group Ibam (No. 72)
One atom of each set of equivalent atoms:
1 Ta 0.000 0.190 0.250 x8
2 Ta 0.115 0.355 0.000 x8
3 Ta 0.248 0.065 0.000 x8
4 Si 0.000 0.500 0.250 x4
5 Si 0.088 0.063 0.500 x8
6 Si 0.203 0.286 0.500 x8

Top 8 peaks for 2θ from 15° to 90°, low angle first:
Position (°2θ)	I (rel.)	index
24.9	401	2 2 0
28.9	322	1 5 0
29.5	456	1 4 1
37.8	248	3 3 0
38.2	285	1 6 1
39.2	396	1 7 0
39.8	1000	1 3 2
41.5	305	2 0 2



Record 4
Gd2DyCo2B2As3: simulated powder X-ray diffraction pattern (Cu Kα (λ = 1.5418 Å)), based on a GGA-PBE-relaxed structure.

Crystal structure
Unit cell a=3.945 b=3.945 c=22.647 alpha=90.00 beta=90.00 gamma=90.00
Space group I4/mmm (No. 139)
One atom of each set of equivalent atoms:
1 Gd 0.000 0.000 0.144 x4
2 Dy 0.000 0.000 0.500 x2
3 Co 0.000 0.500 0.250 x4
4 B 0.000 0.000 0.282 x4
5 As 0.000 0.000 0.000 x2
6 As 0.000 0.000 0.375 x4

Top 8 peaks for 2θ from 15° to 90°, low angle first:
Position (°2θ)	I (rel.)	index
25.5	606	1 0 3
31.6	716	0 0 8
32.1	1000	1 1 0
35.9	470	1 1 4
40.2	950	1 1 6
45.7	428	1 1 8
46.0	732	2 0 0
56.9	578	2 0 8



Record 5
CsK2ZrP2O8: simulated powder X-ray diffraction pattern (Cu Kα (λ = 1.5418 Å)), based on a GGA-PBE-relaxed structure.

Crystal structure
Unit cell a=5.6451 b=5.6451 c=7.6539 alpha=90.00 beta=90.00 gamma=120.00
Space group P-3m1 (No. 164)
One atom of each set of equivalent atoms:
1 Cs 0.0000 0.0000 0.0000 x1
2 K 0.3333 0.6667 0.7253 x2
3 Zr 0.0000 0.0000 0.5000 x1
4 P 0.3333 0.6667 0.2665 x2
5 O 0.1841 0.3682 0.3397 x6
6 O 0.3333 0.6667 0.0686 x2

Top 8 peaks for 2θ from 15° to 90°, low angle first:
Position (°2θ)	I (rel.)	index
18.1	382	1 0 0
29.6	1000	1 0 2
31.7	735	1 1 0
44.0	421	2 0 2
55.2	301	1 2 2
56.5	126	3 0 0
58.3	221	1 1 4
74.2	138	3 1 2



Record 6
Li4Cd2GaAg: simulated powder X-ray diffraction pattern (Cu Kα (λ = 1.5418 Å)), based on a GGA-PBE-relaxed structure.

Crystal structure
Unit cell a=4.558 b=4.558 c=6.457 alpha=90.00 beta=90.00 gamma=90.00
Space group P-4m2 (No. 115)
One atom of each set of equivalent atoms:
1 Li 0.000 0.000 0.000 x1
2 Li 0.000 0.500 0.249 x2
3 Li 0.500 0.500 0.500 x1
4 Cd 0.000 0.500 0.760 x2
5 Ga 0.500 0.500 0.000 x1
6 Ag 0.000 0.000 0.500 x1

Top 8 peaks for 2θ from 15° to 90°, low angle first:
Position (°2θ)	I (rel.)	index
23.9	1000	1 0 1
39.5	952	2 0 0
46.7	479	2 1 1
57.2	104	2 2 0
62.8	188	3 0 1
71.7	303	3 1 2
76.8	70	3 2 1
85.1	95	4 0 0



Record 7
MgAg: simulated powder X-ray diffraction pattern (Cu Kα (λ = 1.5418 Å)), based on a GGA-PBE-relaxed structure.

Crystal structure
Unit cell a=3.0538 b=3.0538 c=4.5872 alpha=90.00 beta=90.00 gamma=120.00
Space group P-6m2 (No. 187)
One atom of each set of equivalent atoms:
1 Mg 0.0000 0.0000 0.0000 x1
2 Ag 0.3333 0.6667 0.5000 x1

Top 8 peaks for 2θ from 15° to 90°, low angle first:
Position (°2θ)	I (rel.)	index
19.3	395	0 0 1
33.9	408	1 0 0
39.3	1000	0 0 2
52.8	218	1 0 2
60.6	146	1 1 0
64.3	84	1 1 1
71.3	176	1 0 3
74.7	252	1 1 2



Record 8
MgNb2Bi3Ir3: simulated powder X-ray diffraction pattern (Cu Kα (λ = 1.5418 Å)), based on a GGA-PBE-relaxed structure.

Crystal structure
Unit cell a=7.813 b=13.533 c=7.808 alpha=90.00 beta=109.56 gamma=90.00
Space group Cc (No. 9)
One atom of each set of equivalent atoms:
1 Mg 0.000 0.087 0.000 x4
2 Nb 0.002 0.252 0.508 x4
3 Nb 0.007 0.417 0.008 x4
4 Bi 0.241 0.076 0.759 x4
5 Bi 0.250 0.245 0.261 x4
6 Bi 0.269 0.420 0.748 x4
7 Ir 0.363 0.405 0.116 x4
8 Ir 0.372 0.239 0.640 x4
9 Ir 0.399 0.083 0.139 x4

Top 8 peaks for 2θ from 15° to 90°, low angle first:
Position (°2θ)	I (rel.)	index
24.2	608	0 0 2
40.0	1000	2 0 2
47.3	293	3 3 -3
57.8	163	2 6 2
63.6	98	1 3 -5
72.6	259	2 0 -6
72.7	57	1 3 5
86.3	81	2 6 -6



Record 9
Y2HoFe2B2N3: simulated powder X-ray diffraction pattern (Cu Kα (λ = 1.5418 Å)), based on a GGA-PBE-relaxed structure.

Crystal structure
Unit cell a=3.444 b=3.444 c=20.369 alpha=90.00 beta=90.00 gamma=90.00
Space group I4/mmm (No. 139)
One atom of each set of equivalent atoms:
1 Y 0.000 0.000 0.122 x4
2 Ho 0.000 0.000 0.500 x2
3 Fe 0.000 0.500 0.250 x4
4 B 0.000 0.000 0.313 x4
5 N 0.000 0.000 0.000 x2
6 N 0.000 0.000 0.386 x4

Top 8 peaks for 2θ from 15° to 90°, low angle first:
Position (°2θ)	I (rel.)	index
29.1	1000	1 0 3
34.1	918	1 0 5
35.2	620	0 0 8
36.9	373	1 1 0
38.0	752	1 1 2
45.9	373	1 1 6
53.2	416	2 0 0
65.4	510	2 0 8



Record 10
WBr5: simulated powder X-ray diffraction pattern (Cu Kα (λ = 1.5418 Å)), based on a GGA-PBE-relaxed structure.

Crystal structure
Unit cell a=6.506 b=7.100 c=9.702 alpha=108.27 beta=90.71 gamma=116.51
Space group P-1 (No. 2)
One atom of each set of equivalent atoms:
1 W 0.106 0.216 0.215 x2
2 Br 0.073 0.812 0.569 x2
3 Br 0.118 0.618 0.855 x2
4 Br 0.246 0.184 0.955 x2
5 Br 0.308 0.007 0.246 x2
6 Br 0.449 0.578 0.334 x2

Top 8 peaks for 2θ from 15° to 90°, low angle first:
Position (°2θ)	I (rel.)	index
15.5	287	1 0 0
15.6	239	1 -1 0
16.8	228	1 0 -1
17.0	196	1 -1 1
19.6	193	0 0 2
30.9	1000	1 0 -3
31.4	434	2 -2 1
40.4	273	1 2 0



Record 11
AlW: simulated powder X-ray diffraction pattern (Cu Kα (λ = 1.5418 Å)), based on a GGA-PBE-relaxed structure.

Crystal structure
Unit cell a=5.243 b=9.077 c=8.585 alpha=90.00 beta=90.00 gamma=90.00
Space group Cmcm (No. 63)
One atom of each set of equivalent atoms:
1 Al 0.000 0.152 0.065 x8
2 Al 0.000 0.337 0.750 x4
3 W 0.000 0.500 0.000 x4
4 W 0.246 0.091 0.750 x8

Top 8 peaks for 2θ from 15° to 90°, low angle first:
Position (°2θ)	I (rel.)	index
19.6	1000	0 2 0
22.2	865	0 2 1
37.1	391	0 2 3
40.3	982	2 0 2
41.1	823	2 2 1
42.1	330	0 0 4
45.2	649	0 4 2
51.4	299	2 2 3



Record 12
TlHgCl6: simulated powder X-ray diffraction pattern (Cu Kα (λ = 1.5418 Å)), based on a GGA-PBE-relaxed structure.

Crystal structure
Unit cell a=6.254 b=6.337 c=6.922 alpha=68.91 beta=64.16 gamma=66.12
Space group P-1 (No. 2)
One atom of each set of equivalent atoms:
1 Tl 0.000 0.000 0.000 x1
2 Hg 0.500 0.500 0.500 x1
3 Cl 0.094 0.426 0.740 x2
4 Cl 0.225 0.952 0.232 x2
5 Cl 0.451 0.740 0.746 x2

Top 8 peaks for 2θ from 15° to 90°, low angle first:
Position (°2θ)	I (rel.)	index
17.9	1000	1 0 1
18.9	900	0 1 1
19.1	845	1 1 0
23.8	640	0 1 -1
25.6	479	1 0 -1
26.0	307	1 -1 0
26.3	422	1 1 2
31.7	313	0 2 0